This entry pairs a crystal structure of BeCu3S4 with its theoretical powder diffractogram. Radiation: λ = 1.5418 Å (Cu Kα). Structure: a cell relaxed with PBE.
Neutral-atom scattering factors, no anomalous dispersion.

Atomic structure:
Cell: 5.1168 5.1168 10.2805 Å, 90.00 90.00 90.00°
Space group I-42m (No. 121)
Asymmetric unit:
1 Be 0.0000 0.0000 0.0000 (multiplicity 2)
2 Cu 0.0000 0.0000 0.5000 (multiplicity 2)
3 Cu 0.0000 0.5000 0.2500 (multiplicity 4)
4 S 0.2364 0.2364 0.8820 (multiplicity 8)

Peak list (6 most intense, 2θ from 15° to 90°, in order of falling intensity)
two_theta	d_spacing	Rel. int.
30.21	2.959	100
50.32	1.813	40
59.93	1.543	24
50.45	1.809	20
19.38	4.581	13
59.71	1.549	12